For Ho2Pd5Pt, DFT lattice parameters and positions (PBE) gives the computed X-ray diffraction stick pattern in this record (Cu Ka).
Neutral-atom scattering factors, no anomalous dispersion.

Structure:
a b c (Å): 5.794 11.593 4.110
angles (deg): 90.00 90.00 90.00
Positions (direct):
1 Ho 0.249 0.125 0.000
2 Ho 0.251 0.625 0.000
3 Ho 0.749 0.375 0.000
4 Ho 0.751 0.875 0.000
5 Pd 0.000 0.000 0.500
6 Pd 0.002 0.750 0.500
7 Pd 0.248 0.375 0.000
8 Pd 0.252 0.875 0.000
9 Pd 0.498 0.250 0.500
10 Pd 0.500 0.500 0.500
11 Pd 0.502 0.750 0.500
12 Pd 0.748 0.125 0.000
13 Pd 0.752 0.625 0.000
14 Pd 0.998 0.250 0.500
15 Pt 0.000 0.500 0.500
16 Pt 0.500 0.000 0.500

Main lines, low angle first (10 to 80 degrees two-theta):
| two_theta | d_spacing | I_rel |
| --- | --- | --- |
| 37.99 | 2.368 | 100 |
| 44.06 | 2.055 | 16 |
| 44.20 | 2.049 | 33 |
| 64.21 | 1.451 | 27 |
| 76.99 | 1.239 | 13 |
| 77.18 | 1.236 | 25 |

***

For Ho2PdPt, DFT lattice parameters and positions (PBE) gives the computed X-ray diffraction stick pattern in this record (Cu Ka).
Neutral-atom scattering factors, no anomalous dispersion.

Structure:
a b c (Å): 5.570 4.510 7.430
angles (deg): 90.00 109.53 90.00
Positions (direct):
1 Ho 0.221 0.250 0.434
2 Ho 0.228 0.250 0.928
3 Ho 0.772 0.750 0.072
4 Ho 0.779 0.750 0.566
5 Pd 0.319 0.750 0.205
6 Pd 0.681 0.250 0.795
7 Pt 0.330 0.750 0.707
8 Pt 0.670 0.250 0.293

Main lines, low angle first (10 to 80 degrees two-theta):
| two_theta | d_spacing | I_rel |
| --- | --- | --- |
| 32.37 | 2.766 | 100 |
| 34.16 | 2.625 | 31 |
| 39.73 | 2.268 | 21 |
| 39.98 | 2.255 | 34 |
| 40.68 | 2.218 | 72 |
| 49.05 | 1.857 | 19 |

***

For HoSi4Pd3, DFT lattice parameters and positions (PBE) gives the computed X-ray diffraction stick pattern in this record (Cu Ka).
Neutral-atom scattering factors, no anomalous dispersion.

Structure:
a b c (Å): 4.746 4.033 6.920
angles (deg): 90.00 92.77 90.00
Positions (direct):
1 Ho 0.000 0.000 0.000
2 Si 0.026 0.500 0.706
3 Si 0.356 0.000 0.649
4 Si 0.492 0.000 0.230
5 Si 0.773 0.500 0.249
6 Pd 0.260 0.500 0.385
7 Pd 0.531 0.500 0.832
8 Pd 0.833 0.000 0.524

Main lines, low angle first (10 to 80 degrees two-theta):
| two_theta | d_spacing | I_rel |
| --- | --- | --- |
| 29.07 | 3.072 | 72 |
| 31.50 | 2.840 | 59 |
| 32.26 | 2.775 | 42 |
| 32.80 | 2.731 | 45 |
| 34.17 | 2.624 | 100 |
| 44.96 | 2.016 | 49 |

***

For Ho4Si3Pd, DFT lattice parameters and positions (PBE) gives the computed X-ray diffraction stick pattern in this record (Cu Ka).
Neutral-atom scattering factors, no anomalous dispersion.

Structure:
a b c (Å): 5.689 3.978 7.653
angles (deg): 90.00 90.84 90.00
Positions (direct):
1 Ho 0.000 0.000 0.000
2 Ho 0.244 0.500 0.365
3 Ho 0.504 0.500 0.863
4 Ho 0.748 0.000 0.519
5 Si 0.262 0.000 0.644
6 Si 0.498 0.000 0.151
7 Si 0.751 0.500 0.230
8 Pd 0.996 0.500 0.727

Main lines, low angle first (10 to 80 degrees two-theta):
| two_theta | d_spacing | I_rel |
| --- | --- | --- |
| 27.36 | 3.260 | 41 |
| 29.70 | 3.008 | 40 |
| 29.88 | 2.990 | 63 |
| 32.47 | 2.758 | 100 |
| 33.45 | 2.679 | 51 |
| 33.78 | 2.653 | 47 |